This entry pairs a crystal structure of NdSn3Au6 with its theoretical powder diffractogram. Radiation: a wavelength of 1.5418 Å. Structure: a DFT-relaxed cell (PBE, Alexandria).
Peak positions follow from Bragg's law for the DFT cell and can differ from measured ones.

Largest 10 diffraction maxima, sorted by position, 5 to 70 degrees two-theta:
2theta  I (rel.)
24.2  63
28.0  46
34.0  64
35.8  41
36.9  30
38.6  51
39.6  100
41.2  21
44.6  40
66.9  36

Cell and atoms:
```
NdSn3Au6
1.0
6.3817 3.6845 1.7174
-6.3817 3.6845 1.7174
0.0000 -7.3689 1.7174
Nd Sn Au
1 3 6
Direct
0.0000 0.0000 0.0000
0.3436 0.3436 0.9410
0.3436 0.9410 0.3436
0.9410 0.3436 0.3437
0.3046 0.8783 0.8783
0.4367 0.4367 0.6689
0.4367 0.6689 0.4367
0.6689 0.4367 0.4367
0.8783 0.3046 0.8783
0.8783 0.8783 0.3046
```